# 1
Diffraction record for MnH6SO6. The powder XRD pattern is simulated, not measured: it uses a crystal structure in the Materials Project, relaxed with GGA+U and Cu Kα, 1.54184 Å.

Peak list (10 most intense, 15° ≤ 2θ ≤ 90°, low angle first)
- 2θ 18.47, rel. 37
- 2θ 20.26, rel. 100
- 2θ 20.54, rel. 51
- 2θ 25.59, rel. 48
- 2θ 25.89, rel. 73
- 2θ 32.69, rel. 65
- 2θ 33.31, rel. 43
- 2θ 34.17, rel. 43
- 2θ 36.97, rel. 62
- 2θ 50.64, rel. 39

```
56
Lattice="5.6746 0.0000 0.0000 0.0000 9.6069 0.0000 0.0000 0.0000 9.9240" Properties=species:S:1:pos:R:3 pbc="T T T"
Mn 1.3966 1.8302 2.7295
Mn 1.4407 7.7767 7.6916
Mn 4.2339 2.9733 7.1945
Mn 4.2780 6.6336 2.2325
H 0.0150 7.0734 5.3547
H 0.0720 5.7513 6.2552
H 0.1088 3.8500 1.2606
H 0.5882 9.2913 1.0053
H 0.6700 0.3081 5.8970
H 1.0424 7.5916 3.4862
H 1.7949 2.0153 8.4482
H 2.1673 9.2987 0.9350
H 2.2491 0.3155 5.9673
H 2.7285 5.7568 6.2227
H 2.7653 3.8555 1.2932
H 2.8223 2.5334 0.3927
H 2.8523 7.3368 4.5693
H 2.9093 8.6590 3.6688
H 2.9461 0.9534 8.6634
H 3.4255 5.1190 8.9187
H 3.5073 4.4953 4.0270
H 3.8797 6.8187 6.4378
H 4.6322 2.7882 1.4758
H 5.0046 5.1116 8.9890
H 5.0865 4.4879 3.9567
H 5.5658 8.6534 3.7014
H 5.6026 0.9479 8.6308
H 5.6597 2.2700 9.5314
S 1.3916 3.2861 5.6080
S 1.4457 6.3207 0.6460
S 4.2289 1.5173 4.3160
S 4.2830 8.0895 9.2781
O 0.0541 1.9483 8.5873
O 0.0595 7.6606 3.6592
O 0.1668 4.0732 6.1510
O 0.2066 5.5357 1.1641
O 1.3753 3.5625 4.0821
O 1.3934 0.1348 1.3413
O 1.4439 9.4721 6.3034
O 1.4620 6.0444 9.0441
O 2.6307 4.0711 6.1261
O 2.6705 5.5336 1.1890
O 2.7778 1.9462 8.6212
O 2.7832 7.6586 3.6253
O 2.8914 2.8552 1.3367
O 2.8968 6.7496 6.2649
O 3.0041 0.7302 3.7730
O 3.0439 8.8746 8.7600
O 4.2126 1.2410 5.8420
O 4.2307 4.6687 8.5827
O 4.2812 4.9382 3.6207
O 4.2994 8.3659 0.8799
O 5.4680 0.7323 3.7979
O 5.5078 8.8767 8.7351
O 5.6151 2.8572 1.3028
O 5.6205 6.7517 6.2987
```

***

# 2
Diffraction record for Mn5H8SO12. The powder XRD pattern is simulated, not measured: it uses a crystal structure in the Materials Project, relaxed with GGA+U and Cu Kα, 1.54184 Å.

Peak list (10 most intense, 15° ≤ 2θ ≤ 90°, low angle first)
- 2θ 17.55, rel. 64
- 2θ 24.15, rel. 50
- 2θ 25.58, rel. 62
- 2θ 27.30, rel. 55
- 2θ 27.86, rel. 49
- 2θ 28.36, rel. 65
- 2θ 31.56, rel. 90
- 2θ 31.77, rel. 100
- 2θ 34.87, rel. 56
- 2θ 56.30, rel. 73

```
52
Lattice="7.7252 0.0000 0.0000 -1.3735 8.5854 0.0000 -2.0128 -1.7089 8.3002" Properties=species:S:1:pos:R:3 pbc="T T T"
Mn -0.3348 1.4261 0.5285
Mn -1.1353 4.7257 1.5416
Mn -1.2144 1.9042 3.7018
Mn 0.2369 7.8942 3.1007
Mn 0.6825 -0.4248 6.3398
Mn 3.6564 7.3013 1.9604
Mn 4.1019 -1.0177 5.1995
Mn 5.5533 4.9724 4.5984
Mn 5.4742 2.1509 6.7586
Mn 4.6737 5.4504 7.7717
H -1.9407 7.1966 3.8699
H 0.3095 4.1508 3.9021
H 1.2801 3.5732 0.7916
H 0.8068 6.4373 1.0908
H 2.0398 0.3728 0.2821
H 1.1918 1.7977 2.5605
H 0.2243 2.1502 5.9539
H 1.8710 5.7576 3.2622
H 2.4679 1.1189 5.0380
H 4.1146 4.7264 2.3463
H 3.1470 5.0788 5.7397
H 2.2990 6.5037 8.0181
H 3.5320 0.4392 7.2094
H 3.0588 3.3033 7.5086
H 4.0294 2.7257 4.3981
H 6.2796 -0.3200 4.4303
S 0.3541 4.8382 7.0423
S 3.9848 2.0384 1.2579
O -0.5566 3.9698 3.4981
O 0.3461 3.4971 0.5144
O -1.2155 6.9552 4.4808
O -0.1134 6.6344 1.3880
O -0.6177 -1.2171 7.8496
O 0.4994 1.1047 2.5459
O -0.4272 1.4368 5.7703
O -1.0970 4.5805 6.6456
O 2.4655 6.3294 0.2191
O 0.7160 6.2564 6.7089
O 1.2364 3.9036 6.3036
O 2.2943 0.1642 4.9872
O 2.0445 6.7123 3.3130
O 3.1024 2.9730 1.9965
O 3.6229 0.6201 1.5913
O 1.8734 0.5471 8.0811
O 5.4359 2.2961 1.6546
O 4.7661 5.4397 2.5299
O 3.8394 5.7718 5.7543
O 4.9566 8.0936 0.4505
O 4.4522 0.2421 6.9122
O 5.5544 -0.0786 3.8194
O 3.9927 3.3794 7.7858
O 4.8954 2.9068 4.8021
```

***

# 3
Diffraction record for Mn2H2SO6. The powder XRD pattern is simulated, not measured: it uses a crystal structure in the Materials Project, relaxed with GGA+U and Cu Kα, 1.54184 Å.

Peak list (10 most intense, 15° ≤ 2θ ≤ 90°, low angle first)
- 2θ 17.21, rel. 46
- 2θ 24.09, rel. 62
- 2θ 26.56, rel. 58
- 2θ 29.18, rel. 38
- 2θ 29.41, rel. 100
- 2θ 31.41, rel. 26
- 2θ 31.83, rel. 31
- 2θ 34.83, rel. 29
- 2θ 38.52, rel. 18
- 2θ 39.44, rel. 17

```
22
Lattice="5.7157 -3.8055 0.0000 5.7157 3.8055 0.0000 -2.7028 0.0000 5.6232" Properties=species:S:1:pos:R:3 pbc="T T T"
Mn 2.3654 0.7450 1.0302
Mn 1.0139 -0.7450 3.8418
Mn 7.7147 0.7450 1.7814
Mn 6.3633 -0.7450 4.5930
H 3.8334 2.7634 1.7080
H 6.2467 2.7634 1.1036
H 2.4819 -2.7634 4.5195
H 4.8953 -2.7634 3.9152
S 3.6886 1.4379 4.2174
S 5.0400 -1.4379 1.4058
O -0.0328 1.0076 4.5008
O 2.7661 2.2774 5.0254
O 4.6111 2.2774 3.4094
O 2.8770 0.5678 3.2989
O 1.3187 -1.0076 1.6893
O 4.2284 -0.5678 0.4873
O 4.5003 0.5678 5.1359
O 7.4100 1.0076 3.9339
O 5.8517 -0.5678 2.3243
O 4.1175 -2.2774 2.2138
O 5.9626 -2.2774 0.5978
O 8.7614 -1.0076 1.1223
```

***

# 4
Diffraction record for Mn5H4S3O15. The powder XRD pattern is simulated, not measured: it uses a crystal structure in the Materials Project, relaxed with GGA+U and Cu Kα, 1.54184 Å.

Peak list (10 most intense, 15° ≤ 2θ ≤ 90°, low angle first)
- 2θ 25.05, rel. 23
- 2θ 25.60, rel. 19
- 2θ 25.79, rel. 21
- 2θ 26.49, rel. 19
- 2θ 28.34, rel. 100
- 2θ 31.11, rel. 37
- 2θ 33.87, rel. 45
- 2θ 34.29, rel. 19
- 2θ 34.71, rel. 20
- 2θ 52.61, rel. 20

```
54
Lattice="7.7585 0.0000 0.0000 0.0000 8.3098 0.0000 -2.1919 0.0000 10.5862" Properties=species:S:1:pos:R:3 pbc="T T T"
Mn 0.2001 2.0774 1.1758
Mn -0.2953 0.3595 3.8180
Mn -0.2953 3.7954 3.8180
Mn 0.4497 0.3910 9.4218
Mn 0.4497 3.7639 9.4218
Mn 5.1169 4.5459 1.1643
Mn 5.1169 7.9188 1.1643
Mn 5.8619 4.5143 6.7682
Mn 5.8619 7.9503 6.7682
Mn 5.3665 6.2323 9.4104
H -0.0374 4.7540 1.4623
H -0.0374 7.7107 1.4623
H 1.8179 2.0774 3.4678
H 2.7567 2.0774 0.8417
H 2.8100 6.2323 9.7444
H 3.7488 6.2323 7.1184
H 5.6040 0.5991 9.1238
H 5.6040 3.5558 9.1238
S 0.5086 2.0774 6.4581
S 1.0071 6.2323 7.1514
S 2.2831 6.2323 1.2555
S 3.2835 2.0774 9.3307
S 4.5596 2.0774 3.4347
S 5.0580 6.2323 4.1281
O -1.5721 4.3125 8.8682
O -1.5721 8.1522 8.8682
O -0.5746 6.2323 7.0121
O -0.3276 0.8426 6.0015
O -0.3276 3.3122 6.0015
O 0.8287 6.2323 0.7335
O 0.8622 2.0774 3.2712
O 1.0212 4.9200 3.8806
O 1.0212 7.5446 3.8806
O 0.3552 2.0774 7.9995
O 2.0708 2.0774 0.1425
O 1.3255 5.0074 7.9894
O 1.3255 7.4572 7.9894
O 2.9522 5.0069 0.5667
O 2.9522 7.4578 0.5667
O 2.6144 0.8520 10.0195
O 2.6144 3.3029 10.0195
O 4.2412 0.8525 2.5968
O 4.2412 3.3023 2.5968
O 3.4958 6.2323 10.4437
O 5.2114 6.2323 2.5867
O 4.5455 0.7651 6.7056
O 4.5455 3.3897 6.7056
O 4.7044 6.2323 7.3150
O 4.7379 2.0774 9.8527
O 5.8942 4.9975 4.5847
O 5.8942 7.4671 4.5847
O 6.1412 2.0774 3.5741
O 7.1387 0.1576 1.7180
O 7.1387 3.9973 1.7180
```